Structure and calculated powder diffractogram of CaBi6P4O20 (a crystal structure in Alexandria, relaxed with PBE; Cu Kα (weighted mean of Kα1 and Kα2)).

Most intense lines, 10 to 90 degrees two-theta, by angle:
h k l	Position (°2θ)	Rel. int.
1 0 0	13.99	22
1 -1 0	14.68	22
0 2 0	26.64	22
-2 1 1	27.15	100
1 -2 2	27.50	45
0 1 2	28.02	43
0 1 -3	29.05	21
2 0 1	31.97	22
1 1 -3	32.11	28
1 2 -1	33.06	30

Cell and atoms:
```
data_CaBi6P4O20
_chemical_formula_sum 'Ca1 Bi6 P4 O20'
_cell_length_a 6.9910
_cell_length_b 7.7039
_cell_length_c 9.2857
_cell_angle_alpha 106.85
_cell_angle_beta 93.87
_cell_angle_gamma 112.40
_symmetry_space_group_name_H-M 'P -1'
_symmetry_Int_Tables_number 2
loop_
_symmetry_equiv_pos_as_xyz
'x,y,z'
'-x,-y,-z'
loop_
_atom_site_label
_atom_site_fract_x
_atom_site_fract_y
_atom_site_fract_z
Ca1 0.0000 0.0000 0.0000
Bi1 0.1900 0.6982 0.6758
Bi2 0.3362 0.1327 0.5121
Bi3 0.4336 0.7918 0.0858
P1 0.0510 0.2667 0.7605
P2 0.3405 0.3876 0.2521
O1 0.0554 0.7977 0.4118
O2 0.1090 0.8281 0.1464
O3 0.1216 0.2476 0.2722
O4 0.1491 0.4991 0.8313
O5 0.2237 0.1843 0.7587
O6 0.3161 0.9088 0.9039
O7 0.3435 0.3069 0.0792
O8 0.3651 0.6070 0.3036
O9 0.4495 0.9740 0.6382
O10 0.4821 0.6251 0.6459
```